[1]
The following is a computed powder XRD pattern of ThV12Ge6. It was derived from a crystal structure in Alexandria, relaxed with PBE, using Cu Kα (weighted mean of Kα1 and Kα2).
No peak broadening, texture or thermal motion is included.

abc: 11.0220 11.0220 8.6126
angles: 90.00 90.00 120.00
Space group R-3m (No. 166, hexagonal axes)
Inequivalent atoms, fractional coordinates:
Th1 0.0000 0.0000 0.0000 x3
V1 0.0000 0.3890 0.5000 x18
V2 0.0870 0.1739 0.3309 x18
Ge1 0.0217 0.5108 0.2514 x18

Largest 10 diffraction maxima, sorted by position, 10 to 90 degrees two-theta:
2θ 26.8, I = 50, (2 1 1); 2θ 32.4, I = 44, (1 2 2); 2θ 32.5, I = 54, (2 2 0); 2θ 35.2, I = 70, (1 1 3); 2θ 35.5, I = 100, (1 3 1); 2θ 40.0, I = 52, (3 1 2); 2θ 46.3, I = 62, (0 2 4); 2θ 46.5, I = 37, (2 3 2); 2θ 52.4, I = 42, (5 0 2); 2θ 64.5, I = 22, (3 1 5)

[2]
The following is a computed powder XRD pattern of Th4VGe8. It was derived from a crystal structure in Alexandria, relaxed with PBE, using Cu Kα (weighted mean of Kα1 and Kα2).
No peak broadening, texture or thermal motion is included.

abc: 4.137 4.244 16.839
angles: 90.00 90.00 90.00
Space group Pmm2 (No. 25)
Inequivalent atoms, fractional coordinates:
Th1 0.000 0.000 0.000 x1
Th2 0.000 0.500 0.490 x1
Th3 0.500 0.000 0.785 x1
Th4 0.500 0.500 0.281 x1
V1 0.000 0.500 0.702 x1
Ge1 0.000 0.000 0.335 x1
Ge2 0.000 0.000 0.625 x1
Ge3 0.000 0.500 0.141 x1
Ge4 0.000 0.500 0.850 x1
Ge5 0.500 0.000 0.141 x1
Ge6 0.500 0.000 0.436 x1
Ge7 0.500 0.500 0.623 x1
Ge8 0.500 0.500 0.945 x1

Largest 10 diffraction maxima, sorted by position, 10 to 90 degrees two-theta:
2θ 21.6, I = 14, (0 1 1); 2θ 24.0, I = 29, (1 0 2); 2θ 26.3, I = 14, (0 1 3); 2θ 31.9, I = 14, (0 0 6); 2θ 34.0, I = 24, (0 1 5); 2θ 34.2, I = 100, (1 1 3); 2θ 38.8, I = 20, (1 0 6); 2θ 42.6, I = 19, (0 2 0); 2θ 43.8, I = 17, (2 0 0); 2θ 59.0, I = 12, (1 2 6)

[3]
The following is a computed powder XRD pattern of ThZn2Ge. It was derived from a crystal structure in Alexandria, relaxed with PBE, using Cu Kα (weighted mean of Kα1 and Kα2).
No peak broadening, texture or thermal motion is included.

abc: 4.204 17.590 8.829
angles: 90.00 90.00 90.00
Space group Cmcm (No. 63)
Inequivalent atoms, fractional coordinates:
Th1 0.000 0.000 0.000 x4
Th2 0.000 0.206 0.250 x4
Zn1 0.000 0.174 0.616 x8
Zn2 0.000 0.418 0.250 x4
Zn3 0.000 0.442 0.750 x4
Ge1 0.000 0.357 0.523 x8

Largest 10 diffraction maxima, sorted by position, 10 to 90 degrees two-theta:
2θ 22.5, I = 23, (0 2 2); 2θ 29.8, I = 12, (1 1 2); 2θ 33.2, I = 100, (1 5 0); 2θ 36.8, I = 20, (0 6 2); 2θ 37.7, I = 20, (1 1 3); 2θ 43.0, I = 19, (2 0 0); 2θ 46.1, I = 12, (0 8 2); 2θ 49.1, I = 11, (2 2 2); 2θ 53.6, I = 14, (1 5 4); 2θ 72.6, I = 11, (3 5 0)

[4]
The following is a computed powder XRD pattern of Th3ZnGe2. It was derived from a crystal structure in Alexandria, relaxed with PBE, using Cu Kα (weighted mean of Kα1 and Kα2).
No peak broadening, texture or thermal motion is included.

abc: 12.174 4.220 11.813
angles: 90.00 90.00 90.00
Space group Pnma (No. 62)
Inequivalent atoms, fractional coordinates:
Th1 0.053 0.250 0.119 x4
Th2 0.119 0.750 0.564 x4
Th3 0.208 0.250 0.787 x4
Zn1 0.130 0.250 0.372 x4
Ge1 0.024 0.750 0.309 x4
Ge2 0.193 0.750 0.996 x4

Largest 10 diffraction maxima, sorted by position, 10 to 90 degrees two-theta:
2θ 26.7, I = 36, (3 0 2); 2θ 26.8, I = 41, (2 1 1); 2θ 29.9, I = 42, (2 1 2); 2θ 30.3, I = 34, (4 0 1); 2θ 31.1, I = 100, (0 1 3); 2θ 31.2, I = 29, (1 0 4); 2θ 31.5, I = 37, (3 1 1); 2θ 34.2, I = 57, (3 1 2); 2θ 42.9, I = 41, (0 2 0); 2θ 53.4, I = 25, (4 2 1)

[5]
The following is a computed powder XRD pattern of Th2Zn2Ge3. It was derived from a crystal structure in Alexandria, relaxed with PBE, using Cu Kα (weighted mean of Kα1 and Kα2).
No peak broadening, texture or thermal motion is included.

abc: 4.351 19.633 6.990
angles: 90.00 90.00 90.00
Space group Cmcm (No. 63)
Inequivalent atoms, fractional coordinates:
Th1 0.000 0.046 0.250 x4
Th2 0.000 0.161 0.750 x4
Zn1 0.000 0.315 0.561 x8
Ge1 0.000 0.215 0.250 x4
Ge2 0.000 0.435 0.065 x8

Largest 10 diffraction maxima, sorted by position, 10 to 90 degrees two-theta:
2θ 22.1, I = 19, (0 4 1); 2θ 30.2, I = 25, (0 6 1); 2θ 33.2, I = 80, (1 1 2); 2θ 33.3, I = 100, (1 5 1); 2θ 36.6, I = 17, (0 8 0); 2θ 41.5, I = 31, (2 0 0); 2θ 43.0, I = 30, (0 4 3); 2θ 53.8, I = 20, (1 9 2); 2θ 61.3, I = 21, (2 4 3); 2θ 70.5, I = 21, (3 5 1)

[6]
The following is a computed powder XRD pattern of Th3ZrGe5. It was derived from a crystal structure in Alexandria, relaxed with PBE, using Cu Kα (weighted mean of Kα1 and Kα2).
No peak broadening, texture or thermal motion is included.

abc: 8.9363 8.9363 6.0591
angles: 90.00 90.00 120.00
Space group P6_3/mcm (No. 193)
Inequivalent atoms, fractional coordinates:
Th1 0.0000 0.3831 0.2500 x6
Zr1 0.0000 0.0000 0.0000 x2
Ge1 0.0000 0.2652 0.7500 x6
Ge2 0.3333 0.6667 0.0000 x4

Largest 10 diffraction maxima, sorted by position, 10 to 90 degrees two-theta:
2θ 24.8, I = 78, (1 1 1); 2θ 29.5, I = 28, (0 0 2); 2θ 34.0, I = 83, (2 1 1); 2θ 34.8, I = 95, (3 0 0); 2θ 35.8, I = 100, (1 1 2); 2θ 44.8, I = 42, (3 1 1); 2θ 50.8, I = 22, (2 2 2); 2θ 55.3, I = 21, (2 1 3); 2θ 65.7, I = 25, (4 2 1); 2θ 72.3, I = 23, (3 0 4)

[7]
The following is a computed powder XRD pattern of Ti5Ge4. It was derived from a crystal structure in Alexandria, relaxed with PBE, using Cu Kα (weighted mean of Kα1 and Kα2).
No peak broadening, texture or thermal motion is included.

abc: 6.685 12.856 6.781
angles: 90.00 90.00 90.00
Space group Pnma (No. 62)
Inequivalent atoms, fractional coordinates:
Ti1 0.015 0.094 0.178 x8
Ti2 0.149 0.626 0.334 x8
Ti3 0.173 0.250 0.505 x4
Ge1 0.046 0.250 0.890 x4
Ge2 0.182 0.750 0.653 x4
Ge3 0.193 0.040 0.536 x8

Largest 10 diffraction maxima, sorted by position, 10 to 90 degrees two-theta:
2θ 36.4, I = 100, (1 3 2); 2θ 36.6, I = 77, (2 3 1); 2θ 38.6, I = 32, (0 4 2); 2θ 39.8, I = 32, (1 5 1); 2θ 41.0, I = 28, (1 4 2); 2θ 41.2, I = 44, (2 4 1); 2θ 42.2, I = 32, (0 6 0); 2θ 42.7, I = 74, (3 0 1); 2θ 42.8, I = 53, (1 1 3); 2θ 53.5, I = 27, (1 7 1)

[8]
The following is a computed powder XRD pattern of TiGe. It was derived from a crystal structure in Alexandria, relaxed with PBE, using Cu Kα (weighted mean of Kα1 and Kα2).
No peak broadening, texture or thermal motion is included.

abc: 5.171 5.278 9.530
angles: 90.00 90.00 90.00
Space group P2_12_12_1 (No. 19)
Inequivalent atoms, fractional coordinates:
Ti1 0.098 0.108 0.218 x4
Ti2 0.159 0.377 0.542 x4
Ge1 0.091 0.533 0.798 x4
Ge2 0.173 0.885 0.465 x4

Largest 10 diffraction maxima, sorted by position, 10 to 90 degrees two-theta:
2θ 30.6, I = 33, (1 1 2); 2θ 37.3, I = 39, (1 1 3); 2θ 37.8, I = 33, (0 0 4); 2θ 39.5, I = 100, (1 2 1); 2θ 39.7, I = 31, (2 0 2); 2θ 40.0, I = 89, (2 1 1); 2θ 41.6, I = 82, (0 1 4); 2θ 42.9, I = 64, (1 2 2); 2θ 45.2, I = 57, (2 0 3); 2θ 63.1, I = 31, (1 3 3)

[9]
The following is a computed powder XRD pattern of Ti5Ge2. It was derived from a crystal structure in Alexandria, relaxed with PBE, using Cu Kα (weighted mean of Kα1 and Kα2).
No peak broadening, texture or thermal motion is included.

abc: 13.247 5.133 6.968
angles: 90.00 94.80 90.00
Space group C2/c (No. 15)
Inequivalent atoms, fractional coordinates:
Ti1 0.000 0.173 0.250 x4
Ti2 0.095 0.352 0.931 x8
Ti3 0.229 0.080 0.316 x8
Ge1 0.102 0.173 0.579 x8

Largest 10 diffraction maxima, sorted by position, 10 to 90 degrees two-theta:
2θ 22.9, I = 50, (1 1 1); 2θ 36.1, I = 54, (3 1 -2); 2θ 38.6, I = 53, (3 1 2); 2θ 39.2, I = 72, (4 0 2); 2θ 39.5, I = 47, (2 2 -1); 2θ 39.6, I = 47, (5 1 -1); 2θ 40.2, I = 91, (2 2 1); 2θ 41.5, I = 46, (5 1 1); 2θ 42.9, I = 100, (1 1 -3); 2θ 46.0, I = 61, (4 2 -1)

[10]
The following is a computed powder XRD pattern of TiVGe4. It was derived from a crystal structure in Alexandria, relaxed with PBE, using Cu Kα (weighted mean of Kα1 and Kα2).
No peak broadening, texture or thermal motion is included.

abc: 9.074 3.294 6.728
angles: 90.00 111.53 90.00
Space group C2/m (No. 12)
Inequivalent atoms, fractional coordinates:
Ti1 0.000 0.000 0.000 x2
V1 0.000 0.000 0.500 x2
Ge1 0.159 0.500 0.820 x4
Ge2 0.162 0.500 0.337 x4

Largest 10 diffraction maxima, sorted by position, 10 to 90 degrees two-theta:
2θ 38.2, I = 100, (1 1 -2); 2θ 41.8, I = 38, (2 0 2); 2θ 41.9, I = 38, (4 0 -2); 2θ 42.2, I = 75, (3 1 0); 2θ 54.6, I = 17, (2 0 -4); 2θ 55.8, I = 16, (0 2 0); 2θ 71.2, I = 14, (1 1 4); 2θ 71.4, I = 15, (5 1 -4); 2θ 72.1, I = 14, (2 2 2); 2θ 72.2, I = 14, (4 2 -2)

[11]
The following is a computed powder XRD pattern of Ti3VGe. It was derived from a crystal structure in Alexandria, relaxed with PBE, using Cu Kα (weighted mean of Kα1 and Kα2).
No peak broadening, texture or thermal motion is included.

abc: 8.837 9.311 7.904
angles: 90.00 90.00 90.00
Space group Cmce (No. 64)
Inequivalent atoms, fractional coordinates:
Ti1 0.000 0.054 0.141 x8
Ti2 0.172 0.123 0.595 x16
V1 0.000 0.232 0.850 x8
Ge1 0.250 0.139 0.250 x8

Largest 10 diffraction maxima, sorted by position, 10 to 90 degrees two-theta:
2θ 22.5, I = 22, (0 0 2); 2θ 33.9, I = 56, (3 1 1); 2θ 38.3, I = 68, (1 3 2); 2θ 39.3, I = 100, (0 2 3); 2θ 40.8, I = 20, (4 0 0); 2θ 44.0, I = 62, (2 4 0); 2θ 44.5, I = 61, (2 2 3); 2θ 45.5, I = 21, (2 4 1); 2θ 47.0, I = 33, (4 2 1); 2θ 47.1, I = 18, (4 0 2)